# 1
Diffraction record for LiNiH3Pd. The X-ray powder pattern is simulated, not measured: it uses a crystal structure in Alexandria, relaxed with GGA-PBE and Cu Kα, 1.54184 Å.
No peak broadening, texture or thermal motion is included.

Principal peaks in the range 10° ≤ 2θ ≤ 90°, low angle first:
- d = 3.755 Å, 2θ 23.69, I = 22
- d = 3.692 Å, 2θ 24.11, I = 71
- d = 2.811 Å, 2θ 31.83, I = 18
- d = 2.258 Å, 2θ 39.93, I = 53
- d = 2.244 Å, 2θ 40.19, I = 100
- d = 2.156 Å, 2θ 41.91, I = 53
- d = 2.120 Å, 2θ 42.66, I = 32
- d = 1.545 Å, 2θ 59.85, I = 33

Structural model:
```
LiNiH3Pd
1.0
2.8257 0.0000 0.0000
0.0000 4.2392 0.0000
0.0000 0.0000 7.5109
Li Ni H Pd
2 2 6 2
Direct
0.2500 0.2500 0.2459
0.7500 0.7500 0.7541
0.2500 0.7500 0.4437
0.7500 0.2500 0.5563
0.2500 0.0200 0.6153
0.2500 0.4800 0.6153
0.2500 0.7500 0.9562
0.7500 0.2500 0.0438
0.7500 0.5200 0.3847
0.7500 0.9800 0.3847
0.2500 0.2500 0.8900
0.7500 0.7500 0.1100
```

# 2
Diffraction record for LiNi3H8Pd2. The X-ray powder pattern is simulated, not measured: it uses a crystal structure in Alexandria, relaxed with GGA-PBE and Cu Kα, 1.54184 Å.
No peak broadening, texture or thermal motion is included.

Principal peaks in the range 10° ≤ 2θ ≤ 90°, low angle first:
- d = 4.273 Å, 2θ 20.79, I = 58
- d = 3.761 Å, 2θ 23.65, I = 34
- d = 2.596 Å, 2θ 34.55, I = 25
- d = 2.344 Å, 2θ 38.41, I = 49
- d = 2.289 Å, 2θ 39.37, I = 27
- d = 2.258 Å, 2θ 39.93, I = 100
- d = 2.136 Å, 2θ 42.30, I = 54
- d = 1.424 Å, 2θ 65.54, I = 22

Structural model:
```
LiNi3H8Pd2
1.0
2.5958 1.4987 4.5773
-2.5958 1.4987 4.5773
0.0000 -2.9974 4.5773
Li Ni H Pd
1 3 8 2
Direct
0.0000 0.0000 0.0000
0.3642 0.3642 0.8640
0.3642 0.8640 0.3642
0.8640 0.3642 0.3642
0.1205 0.1205 0.5513
0.1205 0.5513 0.1205
0.1402 0.1402 0.1402
0.1527 0.6175 0.6175
0.5513 0.1205 0.1205
0.5975 0.5975 0.5975
0.6175 0.1527 0.6175
0.6175 0.6175 0.1527
0.3631 0.3631 0.3631
0.7329 0.7329 0.7329
```

# 3
Diffraction record for LiPm2Ni3H12. The X-ray powder pattern is simulated, not measured: it uses a crystal structure in Alexandria, relaxed with GGA-PBE and Cu Kα, 1.54184 Å.
No peak broadening, texture or thermal motion is included.

Principal peaks in the range 10° ≤ 2θ ≤ 90°, low angle first:
- d = 4.806 Å, 2θ 18.46, I = 61
- d = 2.967 Å, 2θ 30.12, I = 100
- d = 2.938 Å, 2θ 30.42, I = 43
- d = 2.533 Å, 2θ 35.43, I = 62
- d = 2.515 Å, 2θ 35.69, I = 60
- d = 2.507 Å, 2θ 35.82, I = 94
- d = 1.702 Å, 2θ 53.88, I = 38
- d = 1.606 Å, 2θ 57.36, I = 30

Structural model:
```
LiPm2Ni3H12
1.0
2.9381 1.6963 4.8681
-2.9381 1.6963 4.8681
0.0000 -3.3926 4.8681
Li Pm Ni H
1 2 3 12
Direct
0.0000 0.0000 0.0000
0.3858 0.3858 0.3858
0.6142 0.6142 0.6142
0.0000 0.0000 0.5000
0.0000 0.5000 0.0000
0.5000 0.0000 0.0000
0.1146 0.1146 0.6020
0.1146 0.6020 0.1146
0.1357 0.6915 0.6915
0.3085 0.3085 0.8643
0.3085 0.8643 0.3085
0.3980 0.8854 0.8854
0.6020 0.1146 0.1146
0.6915 0.1357 0.6915
0.6915 0.6915 0.1357
0.8643 0.3085 0.3085
0.8854 0.3980 0.8854
0.8854 0.8854 0.3980
```

# 4
Diffraction record for LiPmNi2H8. The X-ray powder pattern is simulated, not measured: it uses a crystal structure in Alexandria, relaxed with GGA-PBE and Cu Kα, 1.54184 Å.
No peak broadening, texture or thermal motion is included.

Principal peaks in the range 10° ≤ 2θ ≤ 90°, low angle first:
- d = 3.744 Å, 2θ 23.77, I = 100
- d = 2.801 Å, 2θ 31.95, I = 35
- d = 2.724 Å, 2θ 32.87, I = 21
- d = 2.491 Å, 2θ 36.06, I = 66
- d = 2.220 Å, 2θ 40.63, I = 54
- d = 1.721 Å, 2θ 53.22, I = 32
- d = 1.658 Å, 2θ 55.43, I = 19
- d = 1.328 Å, 2θ 70.96, I = 18

Structural model:
```
LiPmNi2H8
1.0
2.2204 1.2820 5.4490
-2.2204 1.2820 5.4490
0.0000 -2.5639 5.4490
Li Pm Ni H
1 1 2 8
Direct
0.0000 0.0000 0.0000
0.5000 0.5000 0.5000
0.3083 0.3083 0.3083
0.6917 0.6917 0.6917
0.1014 0.6501 0.3903
0.2004 0.2004 0.2004
0.3499 0.6097 0.8986
0.3903 0.1014 0.6501
0.6097 0.8986 0.3499
0.6501 0.3903 0.1014
0.7996 0.7996 0.7996
0.8986 0.3499 0.6097
```

# 5
Diffraction record for Li2NiH6Ru. The X-ray powder pattern is simulated, not measured: it uses a crystal structure in Alexandria, relaxed with GGA-PBE and Cu Kα, 1.54184 Å.
No peak broadening, texture or thermal motion is included.

Principal peaks in the range 10° ≤ 2θ ≤ 90°, low angle first:
- d = 3.353 Å, 2θ 26.58, I = 100
- d = 3.303 Å, 2θ 27.00, I = 48
- d = 2.371 Å, 2θ 37.95, I = 45
- d = 2.353 Å, 2θ 38.25, I = 89
- d = 1.926 Å, 2θ 47.19, I = 35
- d = 1.500 Å, 2θ 61.87, I = 17
- d = 1.495 Å, 2θ 62.08, I = 17
- d = 1.365 Å, 2θ 68.75, I = 30

Structural model:
```
Li2NiH6Ru
1.0
3.3532 0.0000 0.0000
0.0000 3.3532 0.0000
0.0000 0.0000 6.6057
Li Ni H Ru
2 1 6 1
Direct
0.0000 0.0000 0.2477
0.0000 0.0000 0.7523
0.5000 0.5000 0.5000
0.0000 0.5000 0.0000
0.0000 0.5000 0.5000
0.5000 0.0000 0.0000
0.5000 0.0000 0.5000
0.5000 0.5000 0.2602
0.5000 0.5000 0.7398
0.5000 0.5000 0.0000
```

# 6
Diffraction record for SrLiNiH4. The X-ray powder pattern is simulated, not measured: it uses a crystal structure in Alexandria, relaxed with GGA-PBE and Cu Kα, 1.54184 Å.
No peak broadening, texture or thermal motion is included.

Principal peaks in the range 10° ≤ 2θ ≤ 90°, low angle first:
- d = 6.852 Å, 2θ 12.92, I = 33
- d = 4.528 Å, 2θ 19.61, I = 39
- d = 3.993 Å, 2θ 22.26, I = 41
- d = 2.744 Å, 2θ 32.63, I = 100
- d = 2.457 Å, 2θ 36.57, I = 22
- d = 2.399 Å, 2θ 37.49, I = 21
- d = 2.142 Å, 2θ 42.19, I = 19
- d = 1.716 Å, 2θ 53.38, I = 15

Structural model:
```
SrLiNiH4
1.0
2.3987 -6.8522 0.0000
2.3987 6.8522 0.0000
0.0000 0.0000 4.9137
Sr Li Ni H
2 2 2 8
Direct
0.1080 0.8920 0.7500
0.8920 0.1080 0.2500
0.3424 0.6576 0.7500
0.6576 0.3424 0.2500
0.2480 0.7520 0.2500
0.7520 0.2480 0.7500
0.0000 0.5000 0.0000
0.0000 0.5000 0.5000
0.1243 0.8757 0.2500
0.3671 0.6329 0.2500
0.5000 0.0000 0.0000
0.5000 0.0000 0.5000
0.6329 0.3671 0.7500
0.8757 0.1243 0.7500
```